Diffraction record for Li12Mg3Si4. The XRD peak list is theoretical, not measured: it uses a DFT-relaxed cell (PBE, the Materials Project) and Cu Kα (λ = 1.5418 Å).

Crystal structure
Cell lengths 10.6849, 10.6849, 10.6849 Å; angles 90.00, 90.00, 90.00 degrees
Space group I-43d (No. 220)
One atom of each set of equivalent atoms:
Li: 0.0370 0.1194 0.6504 (multiplicity 48)
Mg: 0.0000 0.2500 0.8750 (multiplicity 12)
Si: 0.0468 0.0468 0.0468 (multiplicity 16)

Top 10 peaks for 2θ = 10–90°, low angle first:
d (Å), 2θ/deg, Rel. int., hkl
4.362, 20.36, 1000, 2 1 1
3.778, 23.55, 305, 2 2 0
2.856, 31.32, 342, 3 2 1
2.278, 39.56, 953, 3 3 2
2.181, 41.40, 279, 4 2 2
2.095, 43.17, 751, 5 1 0
1.951, 46.55, 165, 5 2 1
1.649, 55.76, 174, 5 4 1
1.357, 69.24, 238, 6 5 1
1.242, 76.73, 270, 8 3 1